Entry 1:
Starting from a PBE-relaxed structure, the powder XRD pattern of Pr2Si2PbS8 was calculated for λ = 1.5418 Å (Cu Kα).
Peak positions follow from Bragg's law for the DFT cell and can differ from measured ones.

Peak list (10 most intense, 10° ≤ 2θ ≤ 90°, in order of rising 2θ)
19.76 deg, I = 26
21.79 deg, I = 100
22.19 deg, I = 49
34.03 deg, I = 37
34.49 deg, I = 19
35.58 deg, I = 27
35.81 deg, I = 24
36.33 deg, I = 25
39.43 deg, I = 21
54.54 deg, I = 18

a = 9.0501 Å, b = 9.0501 Å, c = 10.2741 Å
α = 114.70°, β = 114.70°, γ = 60.86°
Atoms (fractional coordinates):
Pr 0.0588 0.9412 0.5000
Pr 0.2477 0.4420 0.9960
Pr 0.4420 0.2477 0.4960
Pr 0.9412 0.0588 0.0000
Si 0.1734 0.6508 0.7256
Si 0.3241 0.8558 0.2668
Si 0.6508 0.1734 0.2256
Si 0.8558 0.3241 0.7668
Pb 0.5814 0.7464 0.9884
Pb 0.7464 0.5814 0.4884
S 0.0751 0.2649 0.6994
S 0.0955 0.7931 0.1898
S 0.1028 0.5839 0.4881
S 0.2269 0.8836 0.8120
S 0.2649 0.0751 0.1994
S 0.3947 0.4321 0.7938
S 0.4014 0.9311 0.5046
S 0.4321 0.3947 0.2938
S 0.5162 0.6260 0.1692
S 0.5839 0.1028 0.9881
S 0.6260 0.5162 0.6692
S 0.7049 0.9701 0.3135
S 0.7931 0.0955 0.6898
S 0.8836 0.2269 0.3120
S 0.9311 0.4014 0.0046
S 0.9701 0.7049 0.8135


Entry 2:
Starting from a PBE-relaxed structure, the powder XRD pattern of Pr3YPb2S was calculated for λ = 1.5418 Å (Cu Kα).
Peak positions follow from Bragg's law for the DFT cell and can differ from measured ones.

Peak list (10 most intense, 10° ≤ 2θ ≤ 90°, in order of rising 2θ)
24.17 deg, I = 48
26.42 deg, I = 53
31.84 deg, I = 43
32.30 deg, I = 100
33.83 deg, I = 39
35.07 deg, I = 36
47.14 deg, I = 29
49.52 deg, I = 27
59.55 deg, I = 18
60.10 deg, I = 16

a = 9.1945 Å, b = 9.1945 Å, c = 9.1945 Å
α = 147.68°, β = 146.50°, γ = 47.24°
Atoms (fractional coordinates):
Pr 0.0000 0.0000 0.0000
Pr 0.3309 0.8309 0.5000
Pr 0.6691 0.1691 0.5000
Y 0.5000 0.5000 0.0000
Pb 0.1359 0.6359 0.5000
Pb 0.8641 0.3641 0.5000
S 0.5000 0.0000 0.5000


Entry 3:
Starting from a PBE-relaxed structure, the powder XRD pattern of Pr6Sb5Pb was calculated for λ = 1.5418 Å (Cu Kα).
Peak positions follow from Bragg's law for the DFT cell and can differ from measured ones.

Peak list (10 most intense, 10° ≤ 2θ ≤ 90°, in order of rising 2θ)
27.64 deg, I = 100
39.43 deg, I = 39
39.54 deg, I = 38
48.83 deg, I = 21
49.01 deg, I = 7
57.07 deg, I = 13
64.49 deg, I = 18
64.64 deg, I = 18
71.54 deg, I = 15
71.80 deg, I = 7

a = 7.9169 Å, b = 7.9169 Å, c = 7.8895 Å
α = 99.63°, β = 99.63°, γ = 120.03°
Atoms (fractional coordinates):
Pr 0.0781 0.4162 0.7485
Pr 0.2460 0.2460 0.2521
Pr 0.4162 0.0781 0.7485
Pr 0.5838 0.9219 0.2515
Pr 0.7540 0.7540 0.7479
Pr 0.9219 0.5838 0.2515
Sb 0.0000 0.0000 0.5000
Sb 0.1665 0.8335 0.0000
Sb 0.3338 0.6662 0.5000
Sb 0.6662 0.3338 0.5000
Sb 0.8335 0.1665 0.0000
Pb 0.5000 0.5000 0.0000


Entry 4:
Starting from a PBE-relaxed structure, the powder XRD pattern of Pr8Sb2Pb was calculated for λ = 1.5418 Å (Cu Kα).
Peak positions follow from Bragg's law for the DFT cell and can differ from measured ones.

Peak list (10 most intense, 10° ≤ 2θ ≤ 90°, in order of rising 2θ)
27.91 deg, I = 17
28.93 deg, I = 24
29.39 deg, I = 100
29.87 deg, I = 20
30.56 deg, I = 20
31.44 deg, I = 19
32.67 deg, I = 34
36.03 deg, I = 42
37.03 deg, I = 19
63.64 deg, I = 13

a = 10.2580 Å, b = 10.2580 Å, c = 7.6709 Å
α = 98.86°, β = 98.86°, γ = 28.13°
Atoms (fractional coordinates):
Pr 0.0170 0.0170 0.2520
Pr 0.2167 0.2167 0.8534
Pr 0.3349 0.3349 0.4784
Pr 0.4028 0.4028 0.0070
Pr 0.5972 0.5972 0.9930
Pr 0.6651 0.6651 0.5216
Pr 0.7833 0.7833 0.1466
Pr 0.9830 0.9830 0.7480
Sb 0.1806 0.1806 0.2615
Sb 0.8194 0.8194 0.7385
Pb 0.5000 0.5000 0.5000


Entry 5:
Starting from a PBE-relaxed structure, the powder XRD pattern of Pr3Sc2Pb3 was calculated for λ = 1.5418 Å (Cu Kα).
Peak positions follow from Bragg's law for the DFT cell and can differ from measured ones.

Peak list (10 most intense, 10° ≤ 2θ ≤ 90°, in order of rising 2θ)
19.35 deg, I = 25
27.41 deg, I = 37
29.74 deg, I = 13
32.84 deg, I = 100
33.79 deg, I = 52
43.34 deg, I = 26
52.02 deg, I = 33
58.02 deg, I = 13
59.82 deg, I = 10
65.34 deg, I = 18

a = 9.1766 Å, b = 9.1766 Å, c = 6.5073 Å
α = 90.00°, β = 90.00°, γ = 120.00°
Atoms (fractional coordinates):
Pr 0.0000 0.2423 0.2500
Pr 0.0000 0.7577 0.7500
Pr 0.2423 0.0000 0.2500
Pr 0.2423 0.2423 0.7500
Pr 0.7577 0.0000 0.7500
Pr 0.7577 0.7577 0.2500
Sc 0.3333 0.6667 0.0000
Sc 0.3333 0.6667 0.5000
Sc 0.6667 0.3333 0.0000
Sc 0.6667 0.3333 0.5000
Pb 0.0000 0.4022 0.7500
Pb 0.0000 0.5978 0.2500
Pb 0.4022 0.0000 0.7500
Pb 0.4022 0.4022 0.2500
Pb 0.5978 0.0000 0.2500
Pb 0.5978 0.5978 0.7500


Entry 6:
Starting from a PBE-relaxed structure, the powder XRD pattern of PrPb5Se7 was calculated for λ = 1.5418 Å (Cu Kα).
Peak positions follow from Bragg's law for the DFT cell and can differ from measured ones.

Peak list (10 most intense, 10° ≤ 2θ ≤ 90°, in order of rising 2θ)
24.64 deg, I = 81
27.85 deg, I = 36
28.70 deg, I = 100
29.82 deg, I = 88
31.18 deg, I = 34
39.21 deg, I = 46
40.10 deg, I = 35
41.61 deg, I = 41
42.26 deg, I = 43
42.39 deg, I = 38

a = 7.6014 Å, b = 7.6014 Å, c = 24.9547 Å
α = 90.00°, β = 90.00°, γ = 147.32°
Atoms (fractional coordinates):
Pr 0.2039 0.7961 0.5000
Pr 0.7961 0.2039 0.0000
Pb 0.0126 0.9874 0.2600
Pb 0.2596 0.7404 0.8362
Pb 0.2871 0.7129 0.1837
Pb 0.4447 0.5553 0.6096
Pb 0.4725 0.5275 0.4121
Pb 0.5275 0.4725 0.9121
Pb 0.5553 0.4447 0.1096
Pb 0.7129 0.2871 0.6837
Pb 0.7404 0.2596 0.3362
Pb 0.9874 0.0126 0.7600
Se 0.0728 0.9272 0.6536
Se 0.1146 0.8854 0.3840
Se 0.1769 0.8231 0.9435
Se 0.2038 0.7962 0.0748
Se 0.3497 0.6503 0.7225
Se 0.3754 0.6246 0.2973
Se 0.4360 0.5640 0.0143
Se 0.5640 0.4360 0.5143
Se 0.6246 0.3754 0.7973
Se 0.6503 0.3497 0.2225
Se 0.7962 0.2038 0.5748
Se 0.8231 0.1769 0.4435
Se 0.8854 0.1146 0.8840
Se 0.9272 0.0728 0.1536


Entry 7:
Starting from a PBE-relaxed structure, the powder XRD pattern of Pr3Pb4Se8 was calculated for λ = 1.5418 Å (Cu Kα).
Peak positions follow from Bragg's law for the DFT cell and can differ from measured ones.

Peak list (10 most intense, 10° ≤ 2θ ≤ 90°, in order of rising 2θ)
12.53 deg, I = 16
25.23 deg, I = 29
29.11 deg, I = 51
29.26 deg, I = 100
41.71 deg, I = 58
41.87 deg, I = 57
51.69 deg, I = 21
51.90 deg, I = 20
68.71 deg, I = 18
76.27 deg, I = 20

a = 8.6323 Å, b = 8.6323 Å, c = 8.6273 Å
α = 119.79°, β = 119.79°, γ = 90.07°
Atoms (fractional coordinates):
Pr 0.0000 0.0000 0.0000
Pr 0.0000 0.5000 0.5000
Pr 0.5000 0.0000 0.5000
Pb 0.0000 0.5000 0.0000
Pb 0.5000 0.0000 0.0000
Pb 0.5000 0.5000 0.0000
Pb 0.5000 0.5000 0.5000
Se 0.2432 0.2432 0.9977
Se 0.2448 0.2448 0.4944
Se 0.2470 0.7530 0.5000
Se 0.2478 0.7522 0.0000
Se 0.7522 0.2478 0.0000
Se 0.7530 0.2470 0.5000
Se 0.7552 0.7552 0.5056
Se 0.7568 0.7568 0.0023


Entry 8:
Starting from a PBE-relaxed structure, the powder XRD pattern of Pr5Si2Pb2 was calculated for λ = 1.5418 Å (Cu Kα).
Peak positions follow from Bragg's law for the DFT cell and can differ from measured ones.

Peak list (10 most intense, 10° ≤ 2θ ≤ 90°, in order of rising 2θ)
24.40 deg, I = 32
29.61 deg, I = 21
30.96 deg, I = 52
31.25 deg, I = 100
31.90 deg, I = 45
33.16 deg, I = 26
35.18 deg, I = 42
55.67 deg, I = 23
63.39 deg, I = 22
65.07 deg, I = 19

a = 9.0030 Å, b = 9.0030 Å, c = 8.1680 Å
α = 90.00°, β = 90.00°, γ = 53.98°
Atoms (fractional coordinates):
Pr 0.0000 0.0000 0.0000
Pr 0.0540 0.6918 0.6782
Pr 0.1918 0.5540 0.1782
Pr 0.3082 0.9460 0.6782
Pr 0.4460 0.8082 0.1782
Pr 0.5000 0.5000 0.5000
Pr 0.5540 0.1918 0.8218
Pr 0.6918 0.0540 0.3218
Pr 0.8082 0.4460 0.8218
Pr 0.9460 0.3082 0.3218
Si 0.1110 0.8890 0.3870
Si 0.3890 0.6110 0.8870
Si 0.6110 0.3890 0.1130
Si 0.8890 0.1110 0.6130
Pb 0.2157 0.2157 0.0000
Pb 0.2843 0.2843 0.5000
Pb 0.7157 0.7157 0.5000
Pb 0.7843 0.7843 0.0000